[1]
Diffraction record for Pm3PrDy6Th2. The PXRD pattern is computed, not measured: it uses the PBE geometry in Alexandria and Cu Kα (weighted mean of Kα1 and Kα2).
Lines closer than 0.1° are merged.

Peak list (12 most intense, 2θ = 10–90°, in order of rising 2θ)
(hkl), Position (°2θ), I_rel
1 3 1, 30.43, 100
0 0 4, 30.84, 32
2 0 2, 35.40, 67
0 6 0, 50.67, 24
1 3 5, 51.20, 24
4 0 0, 60.26, 15
3 3 3, 60.50, 29
2 0 6, 60.98, 14
2 6 2, 63.33, 12
4 6 0, 82.54, 12
5 3 1, 85.26, 11
3 3 7, 86.09, 11

Structure:
a b c (Å): 6.2428 10.8071 11.7828
angles (deg): 90.00 100.19 90.00
Space group C2/m (No. 12)
One atom of each set of equivalent atoms:
Pm1 0.0000 0.0000 0.0000
Pm2 0.0000 0.3338 0.0000
Pr1 0.0000 0.5000 0.5000
Dy1 0.2441 0.0000 0.7465
Dy2 0.2483 0.1692 0.2537
Th1 0.0000 0.1667 0.5000


[2]
Diffraction record for PmPrDy2Th. The PXRD pattern is computed, not measured: it uses the PBE geometry in Alexandria and Cu Kα (weighted mean of Kα1 and Kα2).
Lines closer than 0.1° are merged.

Peak list (12 most intense, 2θ = 10–90°, in order of rising 2θ)
(hkl), Position (°2θ), I_rel
2 0 -1, 28.21, 23
0 2 0, 30.74, 25
1 1 2, 32.21, 100
2 2 -1, 42.20, 16
3 0 1, 49.84, 6
0 0 5, 49.97, 13
1 3 2, 55.58, 22
3 2 1, 59.70, 7
0 2 5, 59.82, 15
4 1 -2, 60.61, 10
1 1 -8, 82.44, 6
1 5 2, 89.81, 6

Structure:
a b c (Å): 6.3290 5.8180 9.6528
angles (deg): 90.00 108.93 90.00
Space group P2_1/m (No. 11)
One atom of each set of equivalent atoms:
Pm1 0.0324 0.2500 0.3946
Pr1 0.2519 0.2500 0.8091
Dy1 0.1620 0.7500 0.0055
Dy2 0.3723 0.7500 0.4062
Th1 0.4192 0.2500 0.2041


[3]
Diffraction record for PmPr2Dy2Th2. The PXRD pattern is computed, not measured: it uses the PBE geometry in Alexandria and Cu Kα (weighted mean of Kα1 and Kα2).
Lines closer than 0.1° are merged.

Peak list (12 most intense, 2θ = 10–90°, in order of rising 2θ)
(hkl), Position (°2θ), I_rel
1 1 0, 26.10, 13
1 1 -1, 27.52, 46
6 0 -1, 30.36, 100
4 0 -3, 31.74, 43
3 1 -2, 33.54, 45
3 1 1, 35.72, 36
5 1 0, 38.41, 21
7 1 -2, 44.23, 12
1 1 -4, 52.54, 16
9 1 -3, 54.44, 12
6 2 -1, 61.71, 27
4 2 -3, 62.51, 22

Structure:
a b c (Å): 17.8536 3.4968 8.6271
angles (deg): 90.00 117.82 90.00
Space group C2/m (No. 12)
One atom of each set of equivalent atoms:
Pm1 0.0000 0.0000 0.0000
Pr1 0.1432 0.5000 0.8691
Dy1 0.2110 0.0000 0.3018
Th1 0.0668 0.5000 0.4082


[4]
Diffraction record for PmPrDy2Tl4. The PXRD pattern is computed, not measured: it uses the PBE geometry in Alexandria and Cu Kα (weighted mean of Kα1 and Kα2).
Lines closer than 0.1° are merged.

Peak list (10 most intense, 2θ = 10–90°, in order of rising 2θ)
(hkl), Position (°2θ), I_rel
1 0 4, 23.09, 2
1 1 0, 32.88, 100
0 2 4, 40.56, 1
2 0 8, 47.18, 18
2 1 4, 53.16, 1
3 0 0, 58.70, 39
2 2 0, 68.94, 12
3 1 8, 78.52, 17
0 0 24, 87.66, 1
0 4 8, 87.81, 3

Structure:
a b c (Å): 5.4453 5.4453 26.7181
angles (deg): 90.00 90.00 120.00
Space group R-3m (No. 166, hexagonal axes)
One atom of each set of equivalent atoms:
Pm1 0.0000 0.0000 0.0000
Pr1 0.0000 0.0000 0.5000
Dy1 0.0000 0.0000 0.2501
Tl1 0.0000 0.0000 0.1243
Tl2 0.0000 0.0000 0.3743


[5]
Diffraction record for Pm2Pr6Dy3Tl. The PXRD pattern is computed, not measured: it uses the PBE geometry in Alexandria and Cu Kα (weighted mean of Kα1 and Kα2).
Lines closer than 0.1° are merged.

Peak list (12 most intense, 2θ = 10–90°, in order of rising 2θ)
(hkl), Position (°2θ), I_rel
1 3 1, 30.26, 100
0 0 4, 30.32, 33
2 0 2, 35.10, 67
0 6 0, 50.37, 8
1 3 5, 50.51, 40
0 6 4, 59.94, 29
1 3 -7, 60.06, 24
2 6 2, 62.94, 12
4 0 -8, 82.18, 14
2 0 -10, 82.30, 6
0 6 8, 84.78, 11
3 3 7, 84.92, 7

Structure:
a b c (Å): 6.2585 10.8699 11.9768
angles (deg): 90.00 100.13 90.00
Space group C2/m (No. 12)
One atom of each set of equivalent atoms:
Pm1 0.0000 0.1663 0.0000
Pr1 0.2427 0.5000 0.7482
Pr2 0.2468 0.3366 0.2508
Dy1 0.0000 0.0000 0.5000
Dy2 0.0000 0.3327 0.5000
Tl1 0.0000 0.5000 0.0000


[6]
Diffraction record for Pm2Pr6DyTm. The PXRD pattern is computed, not measured: it uses the PBE geometry in Alexandria and Cu Kα (weighted mean of Kα1 and Kα2).
Lines closer than 0.1° are merged.

Peak list (12 most intense, 2θ = 10–90°, in order of rising 2θ)
(hkl), Position (°2θ), I_rel
2 2 -2, 27.27, 21
1 3 2, 27.92, 38
3 1 -1, 29.85, 96
1 5 0, 30.43, 44
2 2 2, 30.78, 100
1 5 -1, 31.42, 19
1 3 -3, 32.92, 40
2 2 -3, 33.54, 14
1 1 5, 49.63, 11
4 2 -4, 52.06, 10
3 7 1, 52.61, 10
4 0 4, 59.08, 14

Structure:
a b c (Å): 9.3037 15.4946 9.8190
angles (deg): 90.00 98.13 90.00
Space group C2/c (No. 15)
One atom of each set of equivalent atoms:
Pm1 0.2472 0.0493 0.0437
Pr1 0.0610 0.1809 0.4464
Pr2 0.1020 0.3943 0.6179
Pr3 0.2102 0.2202 0.8092
Dy1 0.0000 0.0226 0.7500
Tm1 0.0000 0.4104 0.2500


[7]
Diffraction record for PmPrDy2Tm5. The PXRD pattern is computed, not measured: it uses the PBE geometry in Alexandria and Cu Kα (weighted mean of Kα1 and Kα2).
Lines closer than 0.1° are merged.

Peak list (12 most intense, 2θ = 10–90°, in order of rising 2θ)
(hkl), Position (°2θ), I_rel
2 2 0, 28.62, 51
2 1 3, 28.97, 53
2 0 4, 31.55, 100
3 1 0, 32.08, 16
3 1 2, 34.35, 12
3 2 1, 37.25, 21
2 1 5, 37.99, 17
4 0 2, 42.72, 24
4 1 3, 46.24, 11
0 0 8, 49.24, 19
4 2 4, 52.57, 18
2 2 8, 57.93, 13

Structure:
a b c (Å): 8.8221 8.8221 14.8103
angles (deg): 90.00 90.00 90.00
Space group I4/mcm (No. 140)
One atom of each set of equivalent atoms:
Pm1 0.0000 0.5000 0.2500
Pr1 0.0000 0.0000 0.2500
Dy1 0.1143 0.3857 0.0000
Tm1 0.0000 0.0000 0.0000
Tm2 0.2047 0.2953 0.3679


[8]
Diffraction record for Pm2PrDy4Tm. The PXRD pattern is computed, not measured: it uses the PBE geometry in Alexandria and Cu Kα (weighted mean of Kα1 and Kα2).
Lines closer than 0.1° are merged.

Peak list (12 most intense, 2θ = 10–90°, in order of rising 2θ)
(hkl), Position (°2θ), I_rel
0 4 0, 26.86, 45
0 0 2, 30.23, 100
4 4 0, 40.83, 29
0 4 2, 40.90, 59
8 0 -2, 53.64, 13
4 0 -4, 53.80, 7
8 4 -2, 60.99, 18
4 4 -4, 61.14, 9
8 0 -4, 62.93, 8
0 8 2, 64.38, 23
8 4 -4, 69.68, 12
8 8 -2, 80.72, 8

Structure:
a b c (Å): 13.6678 13.2754 6.8159
angles (deg): 90.00 119.90 90.00
Space group C2/c (No. 15)
One atom of each set of equivalent atoms:
Pm1 0.0000 0.0000 0.0000
Pm2 0.2500 0.2500 0.0000
Pr1 0.2500 0.2500 0.5000
Dy1 0.0000 0.2558 0.9998
Dy2 0.2451 0.5001 0.4937
Tm1 0.0000 0.5000 0.0000